The following is a simulated powder diffraction line list of BaYV4O7. It was derived from DFT lattice parameters and positions (GGA+U), using Cu Kα, 1.54184 Å.

Cell and atoms:
Unit cell a=6.489 b=6.489 c=10.728 alpha=90.00 beta=90.00 gamma=120.00
Fractional positions:
Ba 0.333 0.667 0.000
Ba 0.667 0.333 0.500
Y 0.333 0.667 0.415
Y 0.667 0.333 0.915
V 0.000 0.000 0.449
V 0.000 0.000 0.949
V 0.179 0.357 0.714
V 0.179 0.821 0.714
V 0.357 0.179 0.214
V 0.643 0.821 0.714
V 0.821 0.179 0.214
V 0.821 0.643 0.214
O 0.000 0.000 0.266
O 0.000 0.000 0.766
O 0.012 0.506 0.801
O 0.159 0.318 0.529
O 0.159 0.841 0.529
O 0.318 0.159 0.029
O 0.494 0.506 0.801
O 0.494 0.988 0.801
O 0.506 0.012 0.301
O 0.506 0.494 0.301
O 0.682 0.841 0.529
O 0.841 0.159 0.029
O 0.841 0.682 0.029
O 0.988 0.494 0.301

The 10 most intense peaks (2θ from 10° to 90°), by angle:
2θ/deg, I_rel, (hkl)
27.49, 44, 1 1 0
29.61, 52, 1 0 3
32.25, 100, 1 1 2
32.95, 55, 2 0 1
33.41, 19, 0 0 4
49.94, 18, 2 1 3
51.69, 26, 3 0 2
53.76, 36, 2 0 5
56.75, 32, 2 2 0
61.44, 15, 2 0 6